Computed XRD peak list of ZnCoF5 for copper Kα, from DFT lattice parameters and positions (PBE+U).
Kinematic intensities with the Lorentz-polarization factor, no thermal factor.

Cell and atoms:
```
data_ZnCoF5
_symmetry_space_group_name_H-M 'P -1'
_symmetry_Int_Tables_number 2
_symmetry_space_group_name_Hall '-P 1'
_cell_length_a 5.227
_cell_length_b 5.371
_cell_length_c 7.327
_cell_angle_alpha 109.68
_cell_angle_beta 96.34
_cell_angle_gamma 108.06
loop_
_atom_site_label
_atom_site_type_symbol
_atom_site_fract_x
_atom_site_fract_y
_atom_site_fract_z
_atom_site_occupancy
Zn1 Zn 0.033 0.262 0.234 1
Co1 Co 0.500 0.000 0.500 1
Co2 Co 0.500 0.500 0.000 1
F1 F 0.164 0.784 0.555 1
F2 F 0.213 0.147 0.969 1
F3 F 0.229 0.587 0.878 1
F4 F 0.308 0.137 0.358 1
F5 F 0.383 0.629 0.257 1
```

Main lines, sorted by position (10 to 80 degrees two-theta):
two_theta	Rel. int.	index
23.15	100	1 -1 1
27.14	68	0 1 1
28.57	46	1 0 -2
28.72	44	1 1 -1
47.32	28	2 -2 2
48.75	19	-1 1 3
49.04	20	1 2 0
51.65	14	2 1 -3
55.12	15	2 -3 1
56.00	16	0 2 2